(1)
Structure and calculated PXRD pattern of SrLi2PaS4 (a DFT-relaxed cell (PBE, Alexandria); copper Kα).

The 10 most intense peaks (2θ = 10–90°), sorted by position:
17.53 deg, rel. 100; 27.12 deg, rel. 21; 27.69 deg, rel. 25; 30.25 deg, rel. 23; 31.98 deg, rel. 41; 36.70 deg, rel. 33; 41.47 deg, rel. 15; 42.81 deg, rel. 16; 44.60 deg, rel. 30; 55.93 deg, rel. 15

Cell and atoms:
```
SrLi2PaS4
1.0
-2.798 2.798 5.909
2.798 -2.798 5.909
2.798 2.798 -5.909
Sr Li Pa S
1 2 1 4
Cartesian
0.000 0.000 0.000
0.000 0.000 5.909
0.000 2.798 2.955
2.798 0.000 2.955
2.798 0.000 0.290
0.000 0.000 3.014
2.798 0.000 5.619
0.000 0.000 8.805
```

***

(2)
Structure and calculated PXRD pattern of LiTbPaS4 (a DFT-relaxed cell (PBE, Alexandria); copper Kα).

The 10 most intense peaks (2θ = 10–90°), sorted by position:
13.52 deg, rel. 50; 13.63 deg, rel. 100; 26.09 deg, rel. 53; 26.22 deg, rel. 41; 27.24 deg, rel. 23; 27.46 deg, rel. 22; 31.68 deg, rel. 99; 41.66 deg, rel. 20; 45.42 deg, rel. 49; 75.24 deg, rel. 21

Cell and atoms:
```
LiTbPaS4
1.0
-3.969 4.018 5.650
3.969 -4.018 5.650
3.969 4.018 -5.650
Li Tb Pa S
2 2 2 8
Cartesian
0.000 2.009 1.492
3.969 2.009 4.158
1.984 2.009 -2.825
1.984 -2.009 2.825
3.969 0.000 0.000
0.000 0.000 5.650
3.969 -0.095 2.705
2.106 2.009 -0.062
5.832 2.009 -0.062
3.969 3.922 -2.705
0.000 0.095 8.355
-1.863 2.009 5.711
1.863 2.009 5.711
0.000 4.113 2.944
```

***

(3)
Structure and calculated PXRD pattern of LiPaTiS4 (a DFT-relaxed cell (PBE, Alexandria); copper Kα).

The 10 most intense peaks (2θ = 10–90°), sorted by position:
14.93 deg, rel. 100; 17.03 deg, rel. 23; 26.62 deg, rel. 54; 28.54 deg, rel. 26; 33.22 deg, rel. 48; 34.46 deg, rel. 22; 36.26 deg, rel. 24; 37.56 deg, rel. 15; 44.65 deg, rel. 25; 48.61 deg, rel. 33

Cell and atoms:
```
LiPaTiS4
1.0
-3.610 4.057 5.206
3.610 -4.057 5.206
3.610 4.057 -5.206
Li Pa Ti S
2 2 2 8
Cartesian
0.000 2.029 1.541
3.610 2.029 3.665
3.610 0.000 0.000
0.000 0.000 5.206
1.805 2.029 -2.603
1.805 -2.029 2.603
3.610 3.798 -2.653
3.610 -0.259 2.653
1.836 2.029 -0.076
5.384 2.029 -0.076
-1.774 2.029 5.281
1.774 2.029 5.281
0.000 4.317 2.552
0.000 0.259 7.859
```

***

(4)
Structure and calculated PXRD pattern of LiTmPaS4 (a DFT-relaxed cell (PBE, Alexandria); copper Kα).

The 10 most intense peaks (2θ = 10–90°), sorted by position:
13.58 deg, rel. 57; 13.82 deg, rel. 94; 26.20 deg, rel. 42; 26.47 deg, rel. 20; 26.59 deg, rel. 22; 27.35 deg, rel. 24; 27.84 deg, rel. 23; 31.97 deg, rel. 100; 45.85 deg, rel. 50; 76.04 deg, rel. 21

Cell and atoms:
```
LiTmPaS4
1.0
-3.909 4.012 5.596
3.909 -4.012 5.596
3.909 4.012 -5.596
Li Tm Pa S
2 2 2 8
Cartesian
0.000 2.006 1.479
3.909 2.006 4.116
1.954 2.006 -2.798
1.954 -2.006 2.798
3.909 0.000 0.000
0.000 0.000 5.596
3.909 -0.128 2.707
3.909 3.885 -2.707
2.048 2.006 -0.083
5.769 2.006 -0.083
-1.860 2.006 5.679
1.860 2.006 5.679
0.000 0.128 8.303
0.000 4.140 2.889
```

***

(5)
Structure and calculated PXRD pattern of LiScPaSe4 (a DFT-relaxed cell (PBE, Alexandria); copper Kα).

The 10 most intense peaks (2θ = 10–90°), sorted by position:
13.62 deg, rel. 100; 15.63 deg, rel. 22; 25.32 deg, rel. 47; 26.12 deg, rel. 24; 31.08 deg, rel. 94; 31.57 deg, rel. 46; 33.91 deg, rel. 20; 44.89 deg, rel. 69; 56.66 deg, rel. 22; 83.99 deg, rel. 18

Cell and atoms:
```
LiScPaSe4
1.0
-3.966 4.182 5.668
3.966 -4.182 5.668
3.966 4.182 -5.668
Li Sc Pa Se
2 2 2 8
Cartesian
0.000 2.091 1.570
3.966 2.091 4.098
1.983 2.091 -2.834
1.983 -2.091 2.834
3.966 0.000 0.000
0.000 0.000 5.668
3.966 -0.196 2.822
3.966 3.986 -2.822
2.024 2.091 -0.086
5.909 2.091 -0.086
-1.942 2.091 5.754
1.942 2.091 5.754
0.000 0.196 8.490
0.000 4.378 2.845
```

***

(6)
Structure and calculated PXRD pattern of LiPa6Se8 (a DFT-relaxed cell (PBE, Alexandria); copper Kα).

The 10 most intense peaks (2θ = 10–90°), sorted by position:
15.49 deg, rel. 26; 21.98 deg, rel. 24; 27.00 deg, rel. 24; 31.28 deg, rel. 100; 35.08 deg, rel. 15; 44.82 deg, rel. 75; 53.11 deg, rel. 13; 55.67 deg, rel. 27; 74.14 deg, rel. 34; 82.65 deg, rel. 26

Cell and atoms:
```
LiPa6Se8
1.0
0.000 5.719 5.719
5.719 0.000 5.719
5.719 5.719 0.000
Li Pa Se
1 6 8
Cartesian
0.000 0.000 0.000
2.860 2.860 0.000
2.860 0.000 2.860
5.719 2.860 2.860
0.000 2.860 2.860
2.860 5.719 2.860
2.860 2.860 5.719
5.719 5.719 2.846
5.719 2.846 5.719
8.592 5.719 5.719
2.860 2.860 2.860
8.579 8.579 8.579
2.846 5.719 5.719
5.719 8.592 5.719
5.719 5.719 8.592
```

***

(7)
Structure and calculated PXRD pattern of LiPa3Se4 (a DFT-relaxed cell (PBE, Alexandria); copper Kα).

The 10 most intense peaks (2θ = 10–90°), sorted by position:
17.36 deg, rel. 24; 27.05 deg, rel. 25; 28.20 deg, rel. 11; 31.33 deg, rel. 100; 42.64 deg, rel. 9; 44.90 deg, rel. 75; 55.77 deg, rel. 26; 74.22 deg, rel. 23; 74.39 deg, rel. 11; 82.76 deg, rel. 17

Cell and atoms:
```
LiPa3Se4
1.0
-2.858 2.858 5.700
2.858 -2.858 5.700
2.858 2.858 -5.700
Li Pa Se
1 3 4
Cartesian
0.000 0.000 0.000
2.858 0.000 2.850
0.000 0.000 5.700
0.000 2.858 2.850
2.858 0.000 0.000
0.000 0.000 2.742
0.000 2.858 0.000
0.000 0.000 8.658
```

***

(8)
Structure and calculated PXRD pattern of Li3Pa3Se8 (a DFT-relaxed cell (PBE, Alexandria); copper Kα).

The 10 most intense peaks (2θ = 10–90°), sorted by position:
13.01 deg, rel. 30; 13.73 deg, rel. 64; 24.93 deg, rel. 44; 30.78 deg, rel. 100; 33.86 deg, rel. 21; 43.12 deg, rel. 40; 45.04 deg, rel. 36; 45.46 deg, rel. 20; 53.91 deg, rel. 20; 71.39 deg, rel. 17

Cell and atoms:
```
Li3Pa3Se8
1.0
4.196 2.423 6.448
-4.196 2.423 6.448
0.000 -4.845 6.448
Li Pa Se
3 3 8
Cartesian
0.000 0.000 0.000
0.000 0.000 7.527
0.000 0.000 11.817
-4.196 0.000 9.672
-2.098 1.211 3.224
2.098 1.211 3.224
-2.220 -1.282 11.211
0.000 -2.564 8.133
-2.220 1.282 8.133
0.000 0.000 4.796
0.000 0.000 14.547
2.220 -1.282 11.211
0.000 2.564 11.211
2.220 1.282 8.133
```

***

(9)
Structure and calculated PXRD pattern of Li3PaSe4 (a DFT-relaxed cell (PBE, Alexandria); copper Kα).

The 10 most intense peaks (2θ = 10–90°), sorted by position:
11.09 deg, rel. 35; 13.81 deg, rel. 57; 17.52 deg, rel. 44; 17.75 deg, rel. 28; 19.22 deg, rel. 37; 26.16 deg, rel. 23; 31.60 deg, rel. 53; 31.88 deg, rel. 100; 45.12 deg, rel. 38; 45.91 deg, rel. 55

Cell and atoms:
```
Li3PaSe4
1.0
6.833 0.000 0.000
0.000 7.979 0.000
-2.412 0.000 6.549
Li Pa Se
6 2 8
Cartesian
-0.603 0.862 1.637
-1.809 2.871 4.912
-0.603 5.108 1.637
-1.809 7.116 4.912
1.607 0.932 4.912
2.813 7.046 1.637
2.813 2.825 1.637
1.607 5.154 4.912
1.657 0.986 0.038
0.451 6.993 3.313
0.552 3.074 3.272
-0.654 4.905 6.546
5.074 3.074 0.002
3.868 4.905 3.277
3.969 0.986 3.236
2.763 6.993 6.510
```

***

(10)
Structure and calculated PXRD pattern of LiPa2Si3 (a DFT-relaxed cell (PBE, Alexandria); copper Kα).

The 10 most intense peaks (2θ = 10–90°), sorted by position:
23.05 deg, rel. 23; 25.11 deg, rel. 73; 34.34 deg, rel. 100; 44.23 deg, rel. 30; 50.45 deg, rel. 19; 51.53 deg, rel. 11; 54.12 deg, rel. 19; 57.16 deg, rel. 24; 66.60 deg, rel. 18; 74.97 deg, rel. 15

Cell and atoms:
```
LiPa2Si3
1.0
0.000 4.100 7.086
3.858 0.000 7.086
3.858 4.100 0.000
Li Pa Si
2 4 6
Cartesian
3.858 4.100 2.346
3.858 4.100 11.827
1.929 2.050 3.543
5.747 4.100 7.086
1.969 4.100 7.086
5.788 6.150 10.629
3.858 2.023 5.891
3.858 4.100 4.690
3.858 2.023 8.281
3.858 6.177 5.891
3.858 4.100 9.483
3.858 6.177 8.281
```

***

(11)
Structure and calculated PXRD pattern of LiPaTe3 (a DFT-relaxed cell (PBE, Alexandria); copper Kα).

The 10 most intense peaks (2θ = 10–90°), sorted by position:
12.43 deg, rel. 82; 28.90 deg, rel. 30; 29.96 deg, rel. 100; 30.33 deg, rel. 39; 31.15 deg, rel. 24; 35.66 deg, rel. 52; 39.41 deg, rel. 30; 40.04 deg, rel. 24; 42.39 deg, rel. 32; 43.36 deg, rel. 23

Cell and atoms:
```
LiPaTe3
1.0
9.713 0.000 0.000
0.000 4.173 0.000
0.000 0.000 14.238
Li Pa Te
4 4 12
Cartesian
9.712 1.043 3.557
0.002 3.130 10.681
4.855 1.043 3.562
4.858 3.130 10.677
2.428 1.043 7.144
2.429 3.130 0.025
7.284 1.043 14.214
7.286 3.130 7.094
0.614 1.043 12.810
0.614 3.130 5.690
2.428 1.043 2.227
2.429 3.130 9.346
4.243 1.043 12.809
4.243 3.130 5.691
5.471 1.043 8.548
5.470 3.130 1.429
7.285 1.043 4.893
7.285 3.130 12.012
9.100 1.043 8.549
9.099 3.130 1.429
```

***

(12)
Structure and calculated PXRD pattern of LiPa2Te8 (a DFT-relaxed cell (PBE, Alexandria); copper Kα).

The 10 most intense peaks (2θ = 10–90°), sorted by position:
12.65 deg, rel. 30; 16.28 deg, rel. 100; 21.99 deg, rel. 32; 24.30 deg, rel. 62; 25.45 deg, rel. 56; 32.90 deg, rel. 78; 35.48 deg, rel. 31; 38.31 deg, rel. 63; 44.85 deg, rel. 49; 50.28 deg, rel. 29

Cell and atoms:
```
LiPa2Te8
1.0
8.083 0.000 0.000
-4.041 7.000 0.000
0.000 0.000 8.662
Li Pa Te
1 2 8
Cartesian
0.000 0.000 0.000
0.000 4.667 5.743
4.041 2.333 2.919
0.000 2.381 7.444
-1.980 5.810 7.444
0.000 4.667 2.857
2.062 1.190 1.218
1.980 5.810 7.444
4.041 2.333 5.805
6.021 1.190 1.218
4.041 4.619 1.218
```